Computed X-ray diffraction stick pattern of Cs4SbH2 for a wavelength of 1.5418 Å, from a GGA-PBE-relaxed structure.

The 12 most intense peaks (2θ = 10–90°), in order of rising 2θ:
2θ/deg  I_rel
15.9  44
23.1  100
25.4  90
26.3  63
30.1  34
30.2  33
30.4  25
36.4  19
38.6  17
42.5  26
48.2  19
49.1  18

Structure:
```
Cs4SbH2
1.0
9.4985 0.0000 0.0000
-3.5174 8.8251 0.0000
-2.9894 -4.4110 7.8946
Cs Sb H
8 2 4
Direct
0.1395 0.2114 0.4253
0.2139 0.7863 0.9256
0.2862 0.7137 0.4257
0.2883 0.3608 0.0740
0.7117 0.6392 0.9260
0.7138 0.2863 0.5743
0.7861 0.2137 0.0744
0.8605 0.7886 0.5747
0.3751 0.1249 0.7499
0.6249 0.8751 0.2501
0.0000 0.0000 0.0000
0.0000 0.5000 0.0000
0.0000 0.5000 0.5000
0.5000 0.5000 0.5000
```



Computed X-ray diffraction stick pattern of CsSbH2 for a wavelength of 1.5418 Å, from a GGA-PBE-relaxed structure.

The 12 most intense peaks (2θ = 10–90°), in order of rising 2θ:
2θ/deg  I_rel
21.8  53
22.4  100
28.9  27
31.5  84
34.7  16
36.5  28
41.4  20
45.8  14
50.3  22
51.2  21
52.8  19
73.6  14

Structure:
```
CsSbH2
1.0
-3.0907 4.0801 2.5830
3.0907 -4.0801 2.5830
3.0907 4.0801 -2.5830
Cs Sb H
1 1 2
Direct
0.0000 0.0000 0.0000
0.5062 0.0062 0.5000
0.6011 0.2501 0.3510
0.8992 0.2501 0.6490
```



Please write out number 1 again, unchanged.
Computed X-ray diffraction stick pattern of Cs4SbH2 for a wavelength of 1.5418 Å, from a GGA-PBE-relaxed structure.

The 12 most intense peaks (2θ = 10–90°), in order of rising 2θ:
2θ/deg  I_rel
15.9  44
23.1  100
25.4  90
26.3  63
30.1  34
30.2  33
30.4  25
36.4  19
38.6  17
42.5  26
48.2  19
49.1  18

Structure:
```
Cs4SbH2
1.0
9.4985 0.0000 0.0000
-3.5174 8.8251 0.0000
-2.9894 -4.4110 7.8946
Cs Sb H
8 2 4
Direct
0.1395 0.2114 0.4253
0.2139 0.7863 0.9256
0.2862 0.7137 0.4257
0.2883 0.3608 0.0740
0.7117 0.6392 0.9260
0.7138 0.2863 0.5743
0.7861 0.2137 0.0744
0.8605 0.7886 0.5747
0.3751 0.1249 0.7499
0.6249 0.8751 0.2501
0.0000 0.0000 0.0000
0.0000 0.5000 0.0000
0.0000 0.5000 0.5000
0.5000 0.5000 0.5000
```